# 1
Structure and simulated X-ray diffraction stick pattern of Zr2FeH5 (a DFT-relaxed cell (PBE, the Materials Project); a wavelength of 1.5418 Å).
Neutral-atom scattering factors, no anomalous dispersion.

The 12 most intense peaks (15° ≤ 2θ ≤ 90°), sorted by position:
31.66°, I 11
33.00°, I 100
36.72°, I 31
41.25°, I 59
57.25°, I 36
59.76°, I 5
62.99°, I 11
66.14°, I 23
75.93°, I 17
78.12°, I 6
81.00°, I 11
83.89°, I 5

Crystal structure
```
data_Zr2FeH5
_cell_length_a 6.920
_cell_length_b 6.920
_cell_length_c 5.653
_cell_angle_alpha 90.00
_cell_angle_beta 90.00
_cell_angle_gamma 90.00
_space_group_name_H-M_alt 'P 1'
_space_group_IT_number 1
loop_
_space_group_symop_operation_xyz
'x,y,z'
loop_
_atom_site_label
_atom_site_type_symbol
_atom_site_fract_x
_atom_site_fract_y
_atom_site_fract_z
_atom_site_occupancy
Zr1 Zr 0.088 0.588 0.250 1
Zr2 Zr 0.088 0.912 0.750 1
Zr3 Zr 0.412 0.588 0.750 1
Zr4 Zr 0.412 0.912 0.250 1
Zr5 Zr 0.588 0.088 0.750 1
Zr6 Zr 0.588 0.412 0.250 1
Zr7 Zr 0.912 0.088 0.250 1
Zr8 Zr 0.912 0.412 0.750 1
Fe1 Fe 0.250 0.250 0.012 1
Fe2 Fe 0.250 0.250 0.512 1
Fe3 Fe 0.750 0.750 0.488 1
Fe4 Fe 0.750 0.750 0.988 1
H1 H 0.037 0.167 0.573 1
H2 H 0.037 0.333 0.073 1
H3 H 0.167 0.037 0.073 1
H4 H 0.167 0.463 0.573 1
H5 H 0.250 0.750 0.000 1
H6 H 0.250 0.750 0.500 1
H7 H 0.333 0.037 0.573 1
H8 H 0.333 0.463 0.073 1
H9 H 0.463 0.167 0.073 1
H10 H 0.463 0.333 0.573 1
H11 H 0.537 0.667 0.427 1
H12 H 0.537 0.833 0.927 1
H13 H 0.667 0.537 0.927 1
H14 H 0.667 0.963 0.427 1
H15 H 0.750 0.250 0.000 1
H16 H 0.750 0.250 0.500 1
H17 H 0.833 0.537 0.427 1
H18 H 0.833 0.963 0.927 1
H19 H 0.963 0.667 0.927 1
H20 H 0.963 0.833 0.427 1
```



# 2
Structure and simulated X-ray diffraction stick pattern of HfFe2 (a DFT-relaxed cell (PBE, the Materials Project); a wavelength of 1.5418 Å).
Neutral-atom scattering factors, no anomalous dispersion.

The 11 most intense peaks (15° ≤ 2θ ≤ 90°), sorted by position:
22.01°, I 23
36.33°, I 73
42.88°, I 100
44.89°, I 12
52.32°, I 2
57.43°, I 6
65.36°, I 27
69.88°, I 30
77.14°, I 22
81.40°, I 5
88.39°, I 12

Crystal structure
```
data_HfFe2
_cell_length_a 4.946
_cell_length_b 4.946
_cell_length_c 4.946
_cell_angle_alpha 60.00
_cell_angle_beta 60.00
_cell_angle_gamma 60.00
_space_group_name_H-M_alt 'P 1'
_space_group_IT_number 1
loop_
_space_group_symop_operation_xyz
'x,y,z'
loop_
_atom_site_label
_atom_site_type_symbol
_atom_site_fract_x
_atom_site_fract_y
_atom_site_fract_z
_atom_site_occupancy
Hf1 Hf 0.125 0.125 0.125 1
Hf2 Hf 0.875 0.875 0.875 1
Fe1 Fe 0.000 0.500 0.500 1
Fe2 Fe 0.500 0.000 0.500 1
Fe3 Fe 0.500 0.500 0.000 1
Fe4 Fe 0.500 0.500 0.500 1
```